For CoP2PtS, the GGA-PBE geometry in Alexandria gives the computed XRD peak list in this record (Cu Ka).
Lines closer than 0.1° are merged.

Largest 10 diffraction maxima, low angle first, 10 to 90 degrees two-theta:
| h k l | 2θ/deg | I (rel.) |
| --- | --- | --- |
| 1 0 0 | 21.16 | 182 |
| 1 0 1 | 28.83 | 1000 |
| 1 1 0 | 30.11 | 469 |
| 1 1 1 | 36.04 | 572 |
| 0 0 2 | 39.30 | 272 |
| 2 0 0 | 43.10 | 415 |
| 1 1 2 | 50.28 | 228 |
| 2 1 1 | 52.68 | 385 |
| 2 0 2 | 59.73 | 309 |
| 2 2 2 | 76.45 | 150 |

Cell and atoms:
Lattice parameters (Å, degrees): 4.1980 4.1980 4.5856 90.00 90.00 90.00
Fractional coordinates of all 5 atoms:
Co 0.0000 0.0000 0.0000
P 0.0000 0.5000 0.0000
P 0.5000 0.0000 0.0000
Pt 0.5000 0.5000 0.5000
S 0.0000 0.0000 0.5000